Diffraction record for Ce2TiIn8. The X-ray powder pattern is simulated, not measured: it uses a structure optimized by DFT (PBE) and Cu Kα.

Structure:
```
data_Ce2TiIn8
_chemical_formula_sum 'Ce2 Ti1 In8'
_space_group_name_H-M_alt 'P 4/m m m'
_space_group_IT_number 123
_space_group_name_Hall '-P 4 2'
_cell_length_a 4.7066
_cell_length_b 4.7066
_cell_length_c 12.7133
_cell_angle_alpha 90.00
_cell_angle_beta 90.00
_cell_angle_gamma 90.00
loop_
_atom_site_label
_atom_site_type_symbol
_atom_site_fract_x
_atom_site_fract_y
_atom_site_fract_z
Ce1 Ce 0.0000 0.0000 0.1872
Ti1 Ti 0.0000 0.0000 0.5000
In1 In 0.0000 0.5000 0.0000
In2 In 0.0000 0.5000 0.3707
In3 In 0.5000 0.5000 0.1847
```

Top 10 peaks for 2θ from 10° to 90°, low angle first:
30.3°, I = 296, (1 1 2); 34.3°, I = 1000, (1 1 3); 35.3°, I = 161, (0 0 5); 38.2°, I = 471, (2 0 0); 53.0°, I = 197, (2 0 5); 55.2°, I = 157, (2 2 0); 58.6°, I = 89, (2 0 6); 65.0°, I = 160, (1 1 8); 66.6°, I = 276, (3 1 3); 67.2°, I = 95, (2 2 5)

Diffraction record for Ce11Tl4In9. The X-ray powder pattern is simulated, not measured: it uses a structure optimized by DFT (PBE) and Cu Kα.

Structure:
```
data_Ce11Tl4In9
_chemical_formula_sum 'Ce22 Tl8 In18'
_space_group_name_H-M_alt 'C m m m'
_space_group_IT_number 65
_space_group_name_Hall '-C 2 2'
_cell_length_a 14.1764
_cell_length_b 20.7627
_cell_length_c 4.6054
_cell_angle_alpha 90.00
_cell_angle_beta 90.00
_cell_angle_gamma 90.00
loop_
_atom_site_label
_atom_site_type_symbol
_atom_site_fract_x
_atom_site_fract_y
_atom_site_fract_z
Ce1 Ce 0.0000 0.0000 0.0000
Ce2 Ce 0.0000 0.1647 0.0000
Ce3 Ce 0.0000 0.3594 0.0000
Ce4 Ce 0.2294 0.5000 0.0000
Ce5 Ce 0.2365 0.1836 0.0000
Tl1 Tl 0.1549 0.4009 0.5000
In1 In 0.0000 0.5000 0.5000
In2 In 0.1086 0.2572 0.5000
In3 In 0.1272 0.0808 0.5000
```

Top 10 peaks for 2θ from 10° to 90°, low angle first:
28.8°, I = 278, (2 4 1); 30.0°, I = 154, (3 3 1); 31.9°, I = 1000, (4 0 1); 32.4°, I = 894, (0 6 1); 34.7°, I = 188, (3 5 1); 36.3°, I = 669, (4 6 0); 39.1°, I = 437, (0 0 2); 54.4°, I = 392, (4 6 2); 66.4°, I = 117, (4 0 3); 66.6°, I = 249, (0 6 3)

Diffraction record for Ce9Tl2In. The X-ray powder pattern is simulated, not measured: it uses a structure optimized by DFT (PBE) and Cu Kα.

Structure:
```
data_Ce9Tl2In
_chemical_formula_sum 'Ce9 Tl2 In1'
_space_group_name_H-M_alt 'P 4/m m m'
_space_group_IT_number 123
_space_group_name_Hall '-P 4 2'
_cell_length_a 4.8172
_cell_length_b 4.8172
_cell_length_c 14.4562
_cell_angle_alpha 90.00
_cell_angle_beta 90.00
_cell_angle_gamma 90.00
loop_
_atom_site_label
_atom_site_type_symbol
_atom_site_fract_x
_atom_site_fract_y
_atom_site_fract_z
Ce1 Ce 0.0000 0.0000 0.0000
Ce2 Ce 0.0000 0.0000 0.3327
Ce3 Ce 0.0000 0.5000 0.1655
Ce4 Ce 0.0000 0.5000 0.5000
Tl1 Tl 0.5000 0.5000 0.3330
In1 In 0.5000 0.5000 0.0000
```

Top 10 peaks for 2θ from 10° to 90°, low angle first:
18.4°, I = 8, (0 0 3); 19.4°, I = 7, (1 0 1); 26.2°, I = 7, (1 1 0); 32.2°, I = 1000, (1 1 3); 37.3°, I = 503, (2 0 0); 53.8°, I = 350, (2 2 0); 64.1°, I = 412, (3 1 3); 67.3°, I = 119, (2 2 6); 79.6°, I = 56, (4 0 0); 88.5°, I = 177, (3 3 3)

Diffraction record for Ce4TlIn5. The X-ray powder pattern is simulated, not measured: it uses a structure optimized by DFT (PBE) and Cu Kα.

Structure:
```
data_Ce4TlIn5
_chemical_formula_sum 'Ce4 Tl1 In5'
_space_group_name_H-M_alt 'P -1'
_space_group_IT_number 2
_cell_length_a 5.8756
_cell_length_b 6.7618
_cell_length_c 7.5143
_cell_angle_alpha 77.61
_cell_angle_beta 74.82
_cell_angle_gamma 73.25
loop_
_space_group_symop_operation_xyz
'x,y,z'
'-x,-y,-z'
loop_
_atom_site_label
_atom_site_type_symbol
_atom_site_fract_x
_atom_site_fract_y
_atom_site_fract_z
Ce1 Ce 0.1128 0.3893 0.3066
Ce2 Ce 0.3063 0.1956 0.8952
Tl1 Tl 0.5000 0.5000 0.5000
In1 In 0.0946 0.9023 0.2979
In2 In 0.2923 0.6993 0.9048
In3 In 0.5000 0.0000 0.5000
```

Top 10 peaks for 2θ from 10° to 90°, low angle first:
32.3°, I = 1000, (0 2 -1); 32.6°, I = 981, (1 2 2); 37.5°, I = 335, (2 2 0); 37.7°, I = 656, (1 0 3); 54.3°, I = 451, (1 4 1); 64.4°, I = 134, (2 4 -1); 64.5°, I = 261, (1 -2 4); 64.6°, I = 133, (3 4 2); 65.1°, I = 258, (0 4 3); 67.6°, I = 113, (0 4 -2)